This entry pairs a crystal structure of Ca3YPb2O with its calculated powder diffraction line list. Radiation: CuKα. Structure: a cell relaxed with GGA-PBE.
Intensities are scaled so that the largest is 100.

Largest 12 diffraction maxima, most intense first, 2θ = 5–70°:
| 2theta | I (rel.) |
| --- | --- |
| 34.16 | 100 |
| 26.63 | 45 |
| 19.38 | 43 |
| 24.63 | 39 |
| 37.81 | 26 |
| 38.23 | 25 |
| 28.68 | 25 |
| 21.00 | 21 |
| 24.48 | 19 |
| 41.92 | 18 |
| 54.86 | 17 |
| 31.73 | 16 |

Cell and atoms:
Lattice parameters (Å, degrees): 9.097 9.097 9.097 150.00 149.68 43.17
Fractional coordinates of all 7 atoms:
1 Ca 0.000 0.000 0.000
2 Ca 0.169 0.669 0.500
3 Ca 0.831 0.331 0.500
4 Y 0.500 0.500 0.000
5 Pb 0.364 0.864 0.500
6 Pb 0.636 0.136 0.500
7 O 0.000 0.500 0.500

***

This entry pairs a crystal structure of CaPuPdO6 with its calculated powder diffraction line list. Radiation: CuKα. Structure: a cell relaxed with GGA-PBE.
Intensities are scaled so that the largest is 100.

Largest 12 diffraction maxima, most intense first, 2θ = 5–70°:
| 2theta | I (rel.) |
| --- | --- |
| 25.87 | 100 |
| 17.12 | 96 |
| 38.00 | 72 |
| 49.08 | 68 |
| 33.67 | 61 |
| 19.25 | 39 |
| 21.09 | 39 |
| 42.94 | 24 |
| 55.64 | 23 |
| 60.21 | 22 |
| 64.31 | 19 |
| 63.09 | 18 |

Cell and atoms:
Lattice parameters (Å, degrees): 5.324 5.324 10.358 90.00 90.00 120.00
Fractional coordinates of all 18 atoms:
1 Ca 0.000 0.000 0.000
2 Ca 0.000 0.000 0.500
3 Pu 0.333 0.667 0.250
4 Pu 0.667 0.333 0.750
5 Pd 0.333 0.667 0.750
6 Pd 0.667 0.333 0.250
7 O 0.000 0.355 0.141
8 O 0.000 0.355 0.641
9 O 0.000 0.645 0.359
10 O 0.000 0.645 0.859
11 O 0.355 0.000 0.141
12 O 0.355 0.000 0.641
13 O 0.355 0.355 0.359
14 O 0.355 0.355 0.859
15 O 0.645 0.000 0.359
16 O 0.645 0.000 0.859
17 O 0.645 0.645 0.141
18 O 0.645 0.645 0.641

***

This entry pairs a crystal structure of CaPdS2O8 with its calculated powder diffraction line list. Radiation: CuKα. Structure: a cell relaxed with GGA-PBE.
Intensities are scaled so that the largest is 100.

Largest 12 diffraction maxima, most intense first, 2θ = 5–70°:
| 2theta | I (rel.) |
| --- | --- |
| 23.42 | 100 |
| 32.19 | 59 |
| 19.70 | 52 |
| 34.48 | 49 |
| 47.89 | 36 |
| 43.18 | 26 |
| 60.33 | 16 |
| 55.50 | 14 |
| 63.67 | 12 |
| 53.83 | 9 |
| 42.10 | 9 |
| 51.74 | 8 |

Cell and atoms:
Lattice parameters (Å, degrees): 5.203 5.203 7.067 90.00 90.00 120.00
Fractional coordinates of all 12 atoms:
1 Ca 0.000 0.000 0.000
2 Pd 0.000 0.000 0.500
3 S 0.333 0.667 0.210
4 S 0.667 0.333 0.790
5 O 0.175 0.351 0.275
6 O 0.175 0.825 0.275
7 O 0.333 0.667 0.001
8 O 0.351 0.175 0.725
9 O 0.649 0.825 0.275
10 O 0.667 0.333 0.999
11 O 0.825 0.175 0.725
12 O 0.825 0.649 0.725

***

This entry pairs a crystal structure of CaTi4Pd3O12 with its calculated powder diffraction line list. Radiation: CuKα. Structure: a cell relaxed with GGA-PBE.
Intensities are scaled so that the largest is 100.

Largest 12 diffraction maxima, most intense first, 2θ = 5–70°:
| 2theta | I (rel.) |
| --- | --- |
| 33.47 | 100 |
| 59.84 | 48 |
| 48.07 | 28 |
| 41.31 | 12 |
| 23.50 | 10 |
| 28.88 | 9 |
| 16.56 | 9 |
| 37.56 | 5 |
| 54.17 | 5 |
| 44.79 | 4 |
| 51.19 | 3 |
| 62.55 | 2 |

Cell and atoms:
Lattice parameters (Å, degrees): 6.557 6.557 6.557 109.47 109.47 109.47
Fractional coordinates of all 20 atoms:
1 Ca 0.000 0.000 0.000
2 Ti 0.000 0.000 0.500
3 Ti 0.000 0.500 0.000
4 Ti 0.500 0.000 0.000
5 Ti 0.500 0.500 0.500
6 Pd 0.000 0.500 0.500
7 Pd 0.500 0.000 0.500
8 Pd 0.500 0.500 0.000
9 O 0.115 0.294 0.821
10 O 0.179 0.473 0.294
11 O 0.179 0.885 0.706
12 O 0.294 0.179 0.473
13 O 0.294 0.821 0.115
14 O 0.473 0.294 0.179
15 O 0.527 0.706 0.821
16 O 0.706 0.179 0.885
17 O 0.706 0.821 0.527
18 O 0.821 0.115 0.294
19 O 0.821 0.527 0.706
20 O 0.885 0.706 0.179

***

This entry pairs a crystal structure of Ca2TlPdO6 with its calculated powder diffraction line list. Radiation: CuKα. Structure: a cell relaxed with GGA-PBE.
Intensities are scaled so that the largest is 100.

Largest 12 diffraction maxima, most intense first, 2θ = 5–70°:
| 2theta | I (rel.) |
| --- | --- |
| 28.91 | 100 |
| 22.51 | 49 |
| 17.90 | 40 |
| 32.05 | 39 |
| 55.20 | 33 |
| 45.95 | 26 |
| 49.15 | 24 |
| 43.09 | 18 |
| 24.00 | 13 |
| 36.94 | 12 |
| 49.70 | 11 |
| 39.80 | 11 |

Cell and atoms:
Lattice parameters (Å, degrees): 5.586 5.586 4.956 90.00 90.00 90.00
Fractional coordinates of all 10 atoms:
1 Ca 0.000 0.500 0.000
2 Ca 0.500 0.000 0.000
3 Tl 0.000 0.000 0.557
4 Pd 0.500 0.500 0.631
5 O 0.000 0.000 0.133
6 O 0.260 0.260 0.740
7 O 0.260 0.740 0.740
8 O 0.500 0.500 0.245
9 O 0.740 0.260 0.740
10 O 0.740 0.740 0.740

***

Copy entry 5 word for word.
This entry pairs a crystal structure of Ca2TlPdO6 with its calculated powder diffraction line list. Radiation: CuKα. Structure: a cell relaxed with GGA-PBE.
Intensities are scaled so that the largest is 100.

Largest 12 diffraction maxima, most intense first, 2θ = 5–70°:
| 2theta | I (rel.) |
| --- | --- |
| 28.91 | 100 |
| 22.51 | 49 |
| 17.90 | 40 |
| 32.05 | 39 |
| 55.20 | 33 |
| 45.95 | 26 |
| 49.15 | 24 |
| 43.09 | 18 |
| 24.00 | 13 |
| 36.94 | 12 |
| 49.70 | 11 |
| 39.80 | 11 |

Cell and atoms:
Lattice parameters (Å, degrees): 5.586 5.586 4.956 90.00 90.00 90.00
Fractional coordinates of all 10 atoms:
1 Ca 0.000 0.500 0.000
2 Ca 0.500 0.000 0.000
3 Tl 0.000 0.000 0.557
4 Pd 0.500 0.500 0.631
5 O 0.000 0.000 0.133
6 O 0.260 0.260 0.740
7 O 0.260 0.740 0.740
8 O 0.500 0.500 0.245
9 O 0.740 0.260 0.740
10 O 0.740 0.740 0.740